Theoretical XRD peak list of SrTc2I2 for Cu Ka, from a DFT-relaxed cell (PBE, Alexandria).

Largest 10 diffraction maxima, by angle, 15° ≤ 2θ ≤ 90°:
Position (°2θ), I_rel, h k l
27.85, 100, 1 1 1
30.29, 88, 2 0 0
35.92, 28, 0 0 2
43.37, 33, 2 2 0
47.68, 49, 2 0 2
52.33, 34, 3 1 1
57.53, 29, 2 2 2
71.50, 14, 4 2 0
74.71, 13, 4 0 2
82.69, 20, 4 2 2

Cell and atoms:
```
data_SrTc2I2
_space_group_name_H-M_alt 'P 4/m m m'
_space_group_IT_number 123
_space_group_name_Hall '-P 4 2'
_cell_length_a 5.901
_cell_length_b 5.901
_cell_length_c 5.000
_cell_angle_alpha 90.00
_cell_angle_beta 90.00
_cell_angle_gamma 90.00
loop_
_atom_site_label
_atom_site_type_symbol
_atom_site_fract_x
_atom_site_fract_y
_atom_site_fract_z
Sr1 Sr 0.000 0.000 0.000
Tc1 Tc 0.000 0.000 0.500
Tc2 Tc 0.500 0.500 0.500
I1 I 0.000 0.500 0.000
```

Theoretical XRD peak list of SrTl4I6 for Cu Ka, from a DFT-relaxed cell (PBE, Alexandria).

Largest 10 diffraction maxima, by angle, 15° ≤ 2θ ≤ 90°:
Position (°2θ), I_rel, h k l
21.92, 64, 3 0 0
25.55, 36, 0 2 4
26.91, 88, 1 3 1
28.58, 63, 2 1 4
29.90, 100, 2 2 3
31.56, 26, 0 0 6
33.75, 37, 2 3 2
38.55, 33, 3 2 4
53.78, 33, 5 3 2
57.21, 32, 3 5 4

Cell and atoms:
```
data_SrTl4I6
_space_group_name_H-M_alt 'R -3 c'
_space_group_IT_number 167
_space_group_name_Hall '-R 3 2"c'
_cell_length_a 14.0626
_cell_length_b 14.0626
_cell_length_c 17.0117
_cell_angle_alpha 90.00
_cell_angle_beta 90.00
_cell_angle_gamma 120.00
loop_
_atom_site_label
_atom_site_type_symbol
_atom_site_fract_x
_atom_site_fract_y
_atom_site_fract_z
Sr1 Sr 0.0000 0.0000 0.0000
Tl1 Tl 0.0000 0.0000 0.2500
Tl2 Tl 0.0000 0.3842 0.2500
I1 I 0.0342 0.2028 0.3891
```

Theoretical XRD peak list of SrTlI3 for Cu Ka, from a DFT-relaxed cell (PBE, Alexandria).

Largest 10 diffraction maxima, by angle, 15° ≤ 2θ ≤ 90°:
Position (°2θ), I_rel, h k l
22.72, 64, 2 0 -2
22.89, 100, 1 1 1
23.96, 28, 0 1 2
27.12, 41, 1 1 2
27.52, 40, 2 0 2
29.82, 57, 1 1 -3
32.48, 25, 3 0 1
33.25, 35, 2 1 -3
34.95, 65, 3 1 -1
37.05, 39, 0 2 0

Cell and atoms:
```
data_SrTlI3
_space_group_name_H-M_alt 'P 1 21/m 1'
_space_group_IT_number 11
_space_group_name_Hall '-P 2yb'
_cell_length_a 9.096
_cell_length_b 4.853
_cell_length_c 11.765
_cell_angle_alpha 90.00
_cell_angle_beta 101.04
_cell_angle_gamma 90.00
loop_
_atom_site_label
_atom_site_type_symbol
_atom_site_fract_x
_atom_site_fract_y
_atom_site_fract_z
Sr1 Sr 0.143 0.250 0.162
Tl1 Tl 0.286 0.250 0.546
I1 I 0.063 0.750 0.335
I2 I 0.207 0.750 0.986
I3 I 0.482 0.250 0.319
```

Theoretical XRD peak list of Sr3Tl5I12 for Cu Ka, from a DFT-relaxed cell (PBE, Alexandria).

Largest 10 diffraction maxima, by angle, 15° ≤ 2θ ≤ 90°:
Position (°2θ), I_rel, h k l
25.51, 48, 3 1 0
26.14, 100, 2 1 1
28.03, 28, 3 0 1
30.66, 73, 2 2 1
30.96, 21, 3 2 0
36.12, 28, 3 2 1
36.78, 31, 0 0 2
37.55, 22, 4 1 1
45.30, 20, 3 1 2
47.11, 25, 6 0 1

Cell and atoms:
```
data_Sr3Tl5I12
_space_group_name_H-M_alt 'P -6 2 m'
_space_group_IT_number 189
_space_group_name_Hall 'P -6 -2'
_cell_length_a 14.5383
_cell_length_b 14.5383
_cell_length_c 4.8868
_cell_angle_alpha 90.00
_cell_angle_beta 90.00
_cell_angle_gamma 120.00
loop_
_atom_site_label
_atom_site_type_symbol
_atom_site_fract_x
_atom_site_fract_y
_atom_site_fract_z
Sr1 Sr 0.0000 0.6808 0.0000
Tl1 Tl 0.0000 0.2941 0.5000
Tl2 Tl 0.3333 0.6667 0.5000
I1 I 0.0000 0.5319 0.5000
I2 I 0.0000 0.8324 0.5000
I3 I 0.1920 0.4530 0.0000
```

Repeat the third record exactly.
Theoretical XRD peak list of SrTlI3 for Cu Ka, from a DFT-relaxed cell (PBE, Alexandria).

Largest 10 diffraction maxima, by angle, 15° ≤ 2θ ≤ 90°:
Position (°2θ), I_rel, h k l
22.72, 64, 2 0 -2
22.89, 100, 1 1 1
23.96, 28, 0 1 2
27.12, 41, 1 1 2
27.52, 40, 2 0 2
29.82, 57, 1 1 -3
32.48, 25, 3 0 1
33.25, 35, 2 1 -3
34.95, 65, 3 1 -1
37.05, 39, 0 2 0

Cell and atoms:
```
data_SrTlI3
_space_group_name_H-M_alt 'P 1 21/m 1'
_space_group_IT_number 11
_space_group_name_Hall '-P 2yb'
_cell_length_a 9.096
_cell_length_b 4.853
_cell_length_c 11.765
_cell_angle_alpha 90.00
_cell_angle_beta 101.04
_cell_angle_gamma 90.00
loop_
_atom_site_label
_atom_site_type_symbol
_atom_site_fract_x
_atom_site_fract_y
_atom_site_fract_z
Sr1 Sr 0.143 0.250 0.162
Tl1 Tl 0.286 0.250 0.546
I1 I 0.063 0.750 0.335
I2 I 0.207 0.750 0.986
I3 I 0.482 0.250 0.319
```